Entry 1:
The following is a simulated powder X-ray diffraction pattern of Tb6Sm8Sn. It was derived from a DFT-relaxed cell (GGA-PBE, Alexandria), using Cu Kα, 1.54184 Å.
Intensities are scaled so that the largest is 100.

Structural model:
a = 9.311 Å, b = 9.311 Å, c = 6.564 Å
α = 90.00°, β = 90.00°, γ = 120.00°
Fractional positions:
Tb (0.095, 0.649, 0.166)
Tb (0.351, 0.446, 0.166)
Tb (0.446, 0.095, 0.834)
Tb (0.554, 0.905, 0.166)
Tb (0.649, 0.554, 0.834)
Tb (0.905, 0.351, 0.834)
Sm (0.040, 0.771, 0.680)
Sm (0.229, 0.269, 0.680)
Sm (0.269, 0.040, 0.320)
Sm (0.333, 0.667, 0.641)
Sm (0.667, 0.333, 0.359)
Sm (0.731, 0.960, 0.680)
Sm (0.771, 0.731, 0.320)
Sm (0.960, 0.229, 0.320)
Sn (0.000, 0.000, 0.000)

Most intense lines, 2θ from 10° to 80°, in order of falling intensity:
2θ = 32.39°, I 100; 2θ = 29.34°, I 43; 2θ = 33.39°, I 41; 2θ = 51.35°, I 19; 2θ = 62.61°, I 18; 2θ = 51.97°, I 17; 2θ = 25.94°, I 17; 2θ = 66.12°, I 11; 2θ = 40.38°, I 10; 2θ = 27.17°, I 10

---

Entry 2:
The following is a simulated powder X-ray diffraction pattern of Ba19Hg4Rh6. It was derived from a DFT-relaxed cell (GGA-PBE, Alexandria), using Cu Kα, 1.54184 Å.
Intensities are scaled so that the largest is 100.

Structural model:
a = 11.703 Å, b = 11.703 Å, c = 11.703 Å
α = 109.47°, β = 109.47°, γ = 109.47°
Fractional positions:
Ba (0.000, 0.000, 0.000)
Ba (0.000, 0.362, 0.362)
Ba (0.000, 0.638, 0.638)
Ba (0.015, 0.664, 0.246)
Ba (0.230, 0.649, 0.985)
Ba (0.246, 0.015, 0.664)
Ba (0.336, 0.351, 0.582)
Ba (0.351, 0.582, 0.336)
Ba (0.362, 0.000, 0.362)
Ba (0.362, 0.362, 0.000)
Ba (0.418, 0.770, 0.754)
Ba (0.582, 0.336, 0.351)
Ba (0.638, 0.000, 0.638)
Ba (0.638, 0.638, 0.000)
Ba (0.649, 0.985, 0.230)
Ba (0.664, 0.246, 0.015)
Ba (0.754, 0.418, 0.770)
Ba (0.770, 0.754, 0.418)
Ba (0.985, 0.230, 0.649)
Hg (0.000, 0.000, 0.341)
Hg (0.000, 0.341, 0.000)
Hg (0.341, 0.000, 0.000)
Hg (0.659, 0.659, 0.659)
Rh (0.195, 0.500, 0.695)
Rh (0.305, 0.805, 0.500)
Rh (0.500, 0.305, 0.805)
Rh (0.500, 0.695, 0.195)
Rh (0.695, 0.195, 0.500)
Rh (0.805, 0.500, 0.305)

Most intense lines, 2θ from 10° to 80°, in order of falling intensity:
2θ = 28.01°, I 100; 2θ = 49.57°, I 26; 2θ = 40.03°, I 16; 2θ = 41.18°, I 14; 2θ = 32.46°, I 14; 2θ = 24.65°, I 12; 2θ = 16.07°, I 12; 2θ = 68.77°, I 11; 2θ = 55.22°, I 11; 2θ = 26.38°, I 10